Entry 1:
Ni2BRh2: calculated XRD peak list (Cu Kα, 1.54184 Å), based on DFT lattice parameters and positions (GGA-PBE).
Lines closer than 0.1° are merged.

Atomic structure:
Cell: 5.203 5.203 4.321 Å, 90.00 90.00 90.00°
Positions (direct):
1 Ni 0.158 0.342 0.000
2 Ni 0.342 0.842 0.000
3 Ni 0.658 0.158 0.000
4 Ni 0.842 0.658 0.000
5 B 0.000 0.000 0.000
6 B 0.500 0.500 0.000
7 Rh 0.174 0.674 0.500
8 Rh 0.326 0.174 0.500
9 Rh 0.674 0.826 0.500
10 Rh 0.826 0.326 0.500

Top 8 peaks for 2θ = 10–90°, by angle:
two_theta	intensity
24.19	11
34.48	22
41.81	28
44.21	100
55.27	11
55.89	11
78.03	17
79.06	18



Entry 2:
Ho5In2Ir: calculated XRD peak list (Cu Kα, 1.54184 Å), based on DFT lattice parameters and positions (GGA-PBE).
Lines closer than 0.1° are merged.

Atomic structure:
Cell: 7.098 12.430 4.822 Å, 90.00 90.00 90.00°
Positions (direct):
1 Ho 0.000 0.000 0.000
2 Ho 0.126 0.290 0.000
3 Ho 0.176 0.581 0.500
4 Ho 0.324 0.081 0.500
5 Ho 0.374 0.790 0.000
6 Ho 0.500 0.500 0.000
7 Ho 0.626 0.210 0.000
8 Ho 0.676 0.919 0.500
9 Ho 0.824 0.419 0.500
10 Ho 0.874 0.710 0.000
11 In 0.096 0.838 0.500
12 In 0.404 0.338 0.500
13 In 0.596 0.662 0.500
14 In 0.904 0.162 0.500
15 Ir 0.000 0.500 0.000
16 Ir 0.500 0.000 0.000

Top 8 peaks for 2θ = 10–90°, by angle:
two_theta	intensity
31.12	30
31.43	42
32.13	100
33.24	31
34.33	70
34.54	51
37.30	65
49.56	29



Entry 3:
Ho2ReH: calculated XRD peak list (Cu Kα, 1.54184 Å), based on DFT lattice parameters and positions (GGA-PBE).
Lines closer than 0.1° are merged.

Atomic structure:
Cell: 8.935 8.935 8.935 Å, 19.57 19.57 19.57°
Positions (direct):
1 Ho 0.105 0.105 0.105
2 Ho 0.895 0.895 0.895
3 Re 0.000 0.000 0.000
4 H 0.500 0.500 0.500

Top 8 peaks for 2θ = 10–90°, by angle:
two_theta	intensity
30.61	56
34.27	100
34.79	35
44.11	34
49.00	46
51.69	21
61.03	26
69.82	32



Entry 4:
HPbClO: calculated XRD peak list (Cu Kα, 1.54184 Å), based on DFT lattice parameters and positions (GGA-PBE).
Lines closer than 0.1° are merged.

Atomic structure:
Cell: 5.831 5.831 7.393 Å, 114.00 114.00 40.89°
Positions (direct):
1 H 0.122 0.122 0.117
2 H 0.878 0.878 0.883
3 Pb 0.172 0.172 0.744
4 Pb 0.828 0.828 0.256
5 Cl 0.429 0.429 0.683
6 Cl 0.571 0.571 0.317
7 O 0.202 0.202 0.090
8 O 0.798 0.798 0.910

Top 8 peaks for 2θ = 10–90°, by angle:
two_theta	intensity
17.13	99
18.02	42
25.17	100
26.78	94
29.12	98
32.87	47
35.12	77
36.37	66



Entry 5:
CrAs4Os: calculated XRD peak list (Cu Kα, 1.54184 Å), based on DFT lattice parameters and positions (GGA-PBE).
Lines closer than 0.1° are merged.

Atomic structure:
Cell: 6.057 6.354 6.368 Å, 90.00 119.10 90.00°
Positions (direct):
1 Cr 0.000 0.000 0.000
2 Cr 0.000 0.500 0.500
3 As 0.053 0.125 0.667
4 As 0.053 0.375 0.167
5 As 0.459 0.133 0.339
6 As 0.459 0.367 0.839
7 As 0.541 0.633 0.161
8 As 0.541 0.867 0.661
9 As 0.947 0.625 0.833
10 As 0.947 0.875 0.333
11 Os 0.500 0.000 0.000
12 Os 0.500 0.500 0.500

Top 8 peaks for 2θ = 10–90°, by angle:
two_theta	intensity
21.72	46
28.08	45
31.45	48
33.87	100
45.85	53
46.30	57
51.32	51
52.74	46



Entry 6:
Sc3Ni4: calculated XRD peak list (Cu Kα, 1.54184 Å), based on DFT lattice parameters and positions (GGA-PBE).
Lines closer than 0.1° are merged.

Atomic structure:
Cell: 7.097 7.097 7.097 Å, 114.22 114.22 114.22°
Positions (direct):
1 Sc 0.022 0.275 0.404
2 Sc 0.275 0.404 0.022
3 Sc 0.404 0.022 0.275
4 Sc 0.596 0.978 0.725
5 Sc 0.725 0.596 0.978
6 Sc 0.978 0.725 0.596
7 Ni 0.000 0.000 0.000
8 Ni 0.061 0.548 0.226
9 Ni 0.226 0.061 0.548
10 Ni 0.452 0.774 0.939
11 Ni 0.500 0.500 0.500
12 Ni 0.548 0.226 0.061
13 Ni 0.774 0.939 0.452
14 Ni 0.939 0.452 0.774

Top 8 peaks for 2θ = 10–90°, by angle:
two_theta	intensity
35.79	17
38.73	15
40.03	100
41.70	76
41.91	18
47.18	17
59.18	15
73.85	12



Entry 7:
AgHOF: calculated XRD peak list (Cu Kα, 1.54184 Å), based on DFT lattice parameters and positions (GGA-PBE).
Lines closer than 0.1° are merged.

Atomic structure:
Cell: 3.573 3.573 5.100 Å, 110.41 110.41 59.75°
Positions (direct):
1 Ag 0.000 0.000 0.000
2 H 0.532 0.532 0.594
3 O 0.604 0.604 0.811
4 F 0.420 0.420 0.258

Top 8 peaks for 2θ = 10–90°, by angle:
two_theta	intensity
19.01	100
29.60	47
31.54	35
31.70	69
38.87	29
43.67	34
51.13	22
54.64	21



Entry 8:
Na3HoTi2Nb2O12: calculated XRD peak list (Cu Kα, 1.54184 Å), based on DFT lattice parameters and positions (GGA-PBE).
Lines closer than 0.1° are merged.

Atomic structure:
Cell: 5.451 5.609 7.758 Å, 90.00 89.90 89.01°
Positions (direct):
1 Na 0.000 0.000 0.000
2 Na 0.013 0.934 0.503
3 Na 0.492 0.470 0.005
4 Ho 0.493 0.406 0.503
5 Ti 0.508 0.947 0.747
6 Ti 0.988 0.455 0.260
7 Nb 0.508 0.949 0.243
8 Nb 0.993 0.466 0.762
9 O 0.063 0.458 0.005
10 O 0.219 0.209 0.304
11 O 0.222 0.208 0.699
12 O 0.311 0.680 0.305
13 O 0.312 0.685 0.700
14 O 0.427 0.972 0.999
15 O 0.578 0.008 0.504
16 O 0.701 0.284 0.774
17 O 0.705 0.282 0.232
18 O 0.800 0.785 0.787
19 O 0.806 0.778 0.213
20 O 0.902 0.510 0.499

Top 8 peaks for 2θ = 10–90°, by angle:
two_theta	intensity
11.41	57
19.53	50
19.91	49
31.92	54
32.38	100
32.67	100
32.87	49
46.87	66